Structure and theoretical X-ray powder pattern of PdPtPb3 (a structure optimized by DFT (PBE); Cu Kα (weighted mean of Kα1 and Kα2)).
Intensities are scaled so that the largest is 100.

Atomic structure:
a = 7.4200 Å, b = 6.8354 Å, c = 10.1255 Å
α = 90.00°, β = 110.29°, γ = 90.00°
Space group P2_1/c (No. 14)
Symmetry-distinct sites (fractional):
Pd  0.0049  0.1927  0.4421 x4
Pt  0.4369  0.1917  0.4326 x4
Pb  0.1575  0.6004  0.8174 x4
Pb  0.2635  0.5174  0.5186 x4
Pb  0.3352  0.0556  0.6826 x4

Principal peaks in the range 5° ≤ 2θ ≤ 70°, in order of rising 2θ:
| Position (°2θ) | I/Imax | hkl |
| --- | --- | --- |
| 28.8 | 41.8 | 2 1 0 |
| 31.1 | 100.0 | 0 1 3 |
| 33.0 | 81.8 | 2 1 1 |
| 33.6 | 91.4 | 2 1 -3 |
| 36.9 | 70.0 | 2 2 0 |
| 37.1 | 58.9 | 2 2 -2 |
| 40.2 | 47.1 | 0 1 4 |
| 40.4 | 33.3 | 2 2 1 |
| 40.7 | 35.5 | 0 3 1 |
| 49.1 | 39.9 | 4 0 -2 |